Entry 1:
For Zn3Pb, DFT lattice parameters and positions (GGA-PBE) gives the simulated XRD peak list in this record (λ = 1.5418 Å (Cu Kα)).

The 8 most intense peaks (10° ≤ 2θ ≤ 90°), by angle:
two_theta  I (rel.)  hkl
12.00  13  0 0 1
29.70  34  1 0 1
36.58  100  1 0 2
38.65  45  1 1 0
54.25  13  1 1 3
55.81  15  2 0 0
64.47  19  1 1 4
68.59  34  2 1 2

Crystal structure
```
data_Zn3Pb
_cell_length_a 3.294
_cell_length_b 3.294
_cell_length_c 7.375
_cell_angle_alpha 90.00
_cell_angle_beta 90.00
_cell_angle_gamma 90.00
_space_group_name_H-M_alt 'P 4/m m m'
_space_group_IT_number 123
_space_group_name_Hall '-P 4 2'
loop_
_atom_site_label
_atom_site_fract_x
_atom_site_fract_y
_atom_site_fract_z
Zn1 0.000 0.000 0.000
Zn2 0.500 0.500 0.196
Pb1 0.000 0.000 0.500
```

---

Entry 2:
For ZnPb, DFT lattice parameters and positions (GGA-PBE) gives the simulated XRD peak list in this record (λ = 1.5418 Å (Cu Kα)).

The 8 most intense peaks (10° ≤ 2θ ≤ 90°), by angle:
two_theta  I (rel.)  hkl
28.31  59  0 1 1
30.69  49  1 0 1
31.39  100  1 1 0
31.49  47  1 0 -2
31.65  90  1 1 -1
32.26  47  0 0 2
39.44  80  2 0 -1
40.13  38  0 1 2

Crystal structure
```
data_ZnPb
_cell_length_a 4.574
_cell_length_b 3.830
_cell_length_c 5.950
_cell_angle_alpha 90.00
_cell_angle_beta 111.13
_cell_angle_gamma 90.00
_space_group_name_H-M_alt 'P 1 21/m 1'
_space_group_IT_number 11
_space_group_name_Hall '-P 2yb'
loop_
_atom_site_label
_atom_site_fract_x
_atom_site_fract_y
_atom_site_fract_z
Zn1 0.085 0.250 0.159
Pb1 0.350 0.250 0.706
```

---

Entry 3:
For Zn2Pb, DFT lattice parameters and positions (GGA-PBE) gives the simulated XRD peak list in this record (λ = 1.5418 Å (Cu Kα)).

The 8 most intense peaks (10° ≤ 2θ ≤ 90°), by angle:
two_theta  I (rel.)  hkl
27.34  47  1 0 1
32.09  19  0 0 4
35.72  100  1 0 3
37.29  51  1 1 0
50.00  22  1 1 4
53.75  18  2 0 0
64.54  17  1 0 7
66.23  33  2 1 3

Crystal structure
```
data_Zn2Pb
_cell_length_a 3.411
_cell_length_b 3.411
_cell_length_c 11.156
_cell_angle_alpha 90.00
_cell_angle_beta 90.00
_cell_angle_gamma 90.00
_space_group_name_H-M_alt 'I 4/m m m'
_space_group_IT_number 139
_space_group_name_Hall '-I 4 2'
loop_
_atom_site_label
_atom_site_fract_x
_atom_site_fract_y
_atom_site_fract_z
Zn1 0.000 0.000 0.198
Pb1 0.000 0.000 0.500
```

---

Entry 4:
For ZnPb, DFT lattice parameters and positions (GGA-PBE) gives the simulated XRD peak list in this record (λ = 1.5418 Å (Cu Kα)).

The 8 most intense peaks (10° ≤ 2θ ≤ 90°), by angle:
two_theta  I (rel.)  hkl
26.70  44  1 1 0
28.61  55  0 0 2
29.82  47  4 0 0
30.12  57  4 0 -2
32.70  32  3 1 -1
34.19  100  3 1 0
36.76  95  1 1 -2
38.27  31  2 0 2

Crystal structure
```
data_ZnPb
_cell_length_a 13.578
_cell_length_b 3.477
_cell_length_c 7.068
_cell_angle_alpha 90.00
_cell_angle_beta 118.02
_cell_angle_gamma 90.00
_space_group_name_H-M_alt 'C 1 m 1'
_space_group_IT_number 8
_space_group_name_Hall 'C -2y'
loop_
_atom_site_label
_atom_site_fract_x
_atom_site_fract_y
_atom_site_fract_z
Zn1 0.000 0.000 0.000
Zn2 0.062 0.000 0.403
Zn3 0.394 0.000 0.139
Pb1 0.211 0.500 0.199
Pb2 0.243 0.500 0.733
Pb3 0.454 0.000 0.622
```

---

Entry 5:
For Zn3Pb, DFT lattice parameters and positions (GGA-PBE) gives the simulated XRD peak list in this record (λ = 1.5418 Å (Cu Kα)).

The 8 most intense peaks (10° ≤ 2θ ≤ 90°), by angle:
two_theta  I (rel.)  hkl
17.21  33  0 0 1
29.82  82  1 0 1
31.37  72  1 1 0
36.00  100  1 1 1
40.03  43  0 2 0
40.33  84  0 1 2
50.70  38  1 2 1
65.69  39  2 1 2

Crystal structure
```
data_Zn3Pb
_cell_length_a 3.683
_cell_length_b 4.505
_cell_length_c 5.152
_cell_angle_alpha 90.00
_cell_angle_beta 90.00
_cell_angle_gamma 90.00
_space_group_name_H-M_alt 'P m m m'
_space_group_IT_number 47
_space_group_name_Hall '-P 2 2'
loop_
_atom_site_label
_atom_site_fract_x
_atom_site_fract_y
_atom_site_fract_z
Zn1 0.000 0.000 0.000
Zn2 0.000 0.500 0.249
Pb1 0.500 0.000 0.500
```

---

Entry 6:
For Zr12ZnPb3, DFT lattice parameters and positions (GGA-PBE) gives the simulated XRD peak list in this record (λ = 1.5418 Å (Cu Kα)).

The 8 most intense peaks (10° ≤ 2θ ≤ 90°), by angle:
two_theta  I (rel.)  hkl
22.24  17  1 1 0
31.66  44  2 0 0
35.51  66  1 2 0
39.03  100  1 1 4
58.91  15  0 3 4
61.37  53  2 3 2
75.17  15  0 2 8
77.36  13  2 4 2

Crystal structure
```
data_Zr12ZnPb3
_cell_length_a 5.648
_cell_length_b 5.654
_cell_length_c 11.312
_cell_angle_alpha 90.00
_cell_angle_beta 90.00
_cell_angle_gamma 90.00
_space_group_name_H-M_alt 'P m m m'
_space_group_IT_number 47
_space_group_name_Hall '-P 2 2'
loop_
_atom_site_label
_atom_site_fract_x
_atom_site_fract_y
_atom_site_fract_z
Zr1 0.000 0.000 0.121
Zr2 0.000 0.000 0.373
Zr3 0.250 0.500 0.500
Zr4 0.255 0.500 0.000
Zr5 0.500 0.247 0.244
Zn1 0.500 0.000 0.000
Pb1 0.000 0.500 0.251
Pb2 0.500 0.000 0.500
```

---

Entry 7:
For Zr4ZnPb, DFT lattice parameters and positions (GGA-PBE) gives the simulated XRD peak list in this record (λ = 1.5418 Å (Cu Kα)).

The 8 most intense peaks (10° ≤ 2θ ≤ 90°), by angle:
two_theta  I (rel.)  hkl
13.01  31  1 0 0
18.43  28  1 1 0
33.29  100  2 1 1
36.36  79  1 1 2
41.06  54  2 0 2
41.97  75  3 1 0
63.50  29  4 0 2
66.74  29  3 3 2

Crystal structure
```
data_Zr4ZnPb
_cell_length_a 6.807
_cell_length_b 6.807
_cell_length_c 5.759
_cell_angle_alpha 90.00
_cell_angle_beta 90.00
_cell_angle_gamma 90.00
_space_group_name_H-M_alt 'P 4/m c c'
_space_group_IT_number 124
_space_group_name_Hall '-P 4 2c'
loop_
_atom_site_label
_atom_site_fract_x
_atom_site_fract_y
_atom_site_fract_z
Zr1 0.139 0.337 0.000
Zn1 0.000 0.000 0.250
Pb1 0.500 0.500 0.250
```

---

Entry 8:
For ZrPb2, DFT lattice parameters and positions (GGA-PBE) gives the simulated XRD peak list in this record (λ = 1.5418 Å (Cu Kα)).

The 8 most intense peaks (10° ≤ 2θ ≤ 90°), by angle:
two_theta  I (rel.)  hkl
32.20  100  0 1 1
33.99  25  0 0 3
37.89  59  1 0 2
53.46  23  1 1 0
55.85  22  0 1 4
63.79  14  2 0 1
64.88  24  1 1 3
87.88  13  1 2 1

Crystal structure
```
data_ZrPb2
_cell_length_a 3.4282
_cell_length_b 3.4282
_cell_length_c 7.9125
_cell_angle_alpha 90.00
_cell_angle_beta 90.00
_cell_angle_gamma 120.00
_space_group_name_H-M_alt 'P -3 m 1'
_space_group_IT_number 164
_space_group_name_Hall '-P 3 2"'
loop_
_atom_site_label
_atom_site_fract_x
_atom_site_fract_y
_atom_site_fract_z
Zr1 0.0000 0.0000 0.0000
Pb1 0.3333 0.6667 0.3180
```

---

Entry 9:
For Zr5Pb3, DFT lattice parameters and positions (GGA-PBE) gives the simulated XRD peak list in this record (λ = 1.5418 Å (Cu Kα)).

The 8 most intense peaks (10° ≤ 2θ ≤ 90°), by angle:
two_theta  I (rel.)  hkl
25.56  43  1 1 1
30.39  31  0 0 2
35.16  100  2 1 1
35.95  53  3 0 0
36.95  68  1 1 2
46.33  35  3 1 1
57.13  25  2 1 3
70.52  22  5 0 2

Crystal structure
```
data_Zr5Pb3
_cell_length_a 8.6539
_cell_length_b 8.6539
_cell_length_c 5.8826
_cell_angle_alpha 90.00
_cell_angle_beta 90.00
_cell_angle_gamma 120.00
_space_group_name_H-M_alt 'P 63/m c m'
_space_group_IT_number 193
_space_group_name_Hall '-P 6c 2'
loop_
_atom_site_label
_atom_site_fract_x
_atom_site_fract_y
_atom_site_fract_z
Zr1 0.0000 0.2466 0.2500
Zr2 0.3333 0.6667 0.0000
Pb1 0.0000 0.3910 0.7500
```

---

Entry 10:
For Zr2Pb, DFT lattice parameters and positions (GGA-PBE) gives the simulated XRD peak list in this record (λ = 1.5418 Å (Cu Kα)).

The 8 most intense peaks (10° ≤ 2θ ≤ 90°), by angle:
two_theta  I (rel.)  hkl
24.04  20  1 0 2
32.30  31  1 0 3
34.05  46  0 1 3
34.75  100  2 1 0
36.50  51  0 2 0
37.23  76  1 1 3
41.56  23  2 0 3
64.58  29  2 3 0

Crystal structure
```
data_Zr2Pb
_cell_length_a 6.064
_cell_length_b 4.924
_cell_length_c 9.348
_cell_angle_alpha 90.00
_cell_angle_beta 90.00
_cell_angle_gamma 90.00
_space_group_name_H-M_alt 'P n m a'
_space_group_IT_number 62
_space_group_name_Hall '-P 2ac 2n'
loop_
_atom_site_label
_atom_site_fract_x
_atom_site_fract_y
_atom_site_fract_z
Zr1 0.117 0.250 0.199
Zr2 0.146 0.250 0.537
Pb1 0.164 0.250 0.869
```

---

Entry 11:
For ZrPb5, DFT lattice parameters and positions (GGA-PBE) gives the simulated XRD peak list in this record (λ = 1.5418 Å (Cu Kα)).

The 8 most intense peaks (10° ≤ 2θ ≤ 90°), by angle:
two_theta  I (rel.)  hkl
31.09  52  2 0 2
31.85  100  1 1 -2
32.35  48  4 0 -2
36.33  29  2 0 -4
37.14  71  3 1 0
52.10  21  1 1 4
53.73  32  0 2 0
63.36  14  2 2 2

Crystal structure
```
data_ZrPb5
_cell_length_a 11.249
_cell_length_b 3.414
_cell_length_c 9.899
_cell_angle_alpha 90.00
_cell_angle_beta 113.71
_cell_angle_gamma 90.00
_space_group_name_H-M_alt 'C 1 2/m 1'
_space_group_IT_number 12
_space_group_name_Hall '-C 2y'
loop_
_atom_site_label
_atom_site_fract_x
_atom_site_fract_y
_atom_site_fract_z
Zr1 0.000 0.000 0.000
Pb1 0.000 0.000 0.500
Pb2 0.161 0.500 0.304
Pb3 0.163 0.500 0.851
```

---

Entry 12:
For ZrPb2, DFT lattice parameters and positions (GGA-PBE) gives the simulated XRD peak list in this record (λ = 1.5418 Å (Cu Kα)).

The 8 most intense peaks (10° ≤ 2θ ≤ 90°), by angle:
two_theta  I (rel.)  hkl
23.75  58  1 1 0
27.62  20  0 0 1
33.84  62  2 0 0
36.74  100  1 1 1
44.23  24  2 0 1
48.61  23  2 2 0
62.45  43  3 1 1
68.00  17  2 0 2

Crystal structure
```
data_ZrPb2
_cell_length_a 5.298
_cell_length_b 5.298
_cell_length_c 3.229
_cell_angle_alpha 90.00
_cell_angle_beta 90.00
_cell_angle_gamma 90.00
_space_group_name_H-M_alt 'P 4/m m m'
_space_group_IT_number 123
_space_group_name_Hall '-P 4 2'
loop_
_atom_site_label
_atom_site_fract_x
_atom_site_fract_y
_atom_site_fract_z
Zr1 0.000 0.000 0.000
Pb1 0.000 0.500 0.500
```

---

Entry 13:
For Zr2Pb3, DFT lattice parameters and positions (GGA-PBE) gives the simulated XRD peak list in this record (λ = 1.5418 Å (Cu Kα)).

The 8 most intense peaks (10° ≤ 2θ ≤ 90°), by angle:
two_theta  I (rel.)  hkl
24.62  72  0 1 1
34.63  100  1 1 0
35.57  80  1 0 2
42.96  18  2 0 1
50.49  30  0 2 2
56.31  16  1 2 1
62.06  19  3 0 0
62.67  31  2 1 2

Crystal structure
```
data_Zr2Pb3
_cell_length_a 5.1803
_cell_length_b 5.1803
_cell_length_c 6.1058
_cell_angle_alpha 90.00
_cell_angle_beta 90.00
_cell_angle_gamma 120.00
_space_group_name_H-M_alt 'P -3 m 1'
_space_group_IT_number 164
_space_group_name_Hall '-P 3 2"'
loop_
_atom_site_label
_atom_site_fract_x
_atom_site_fract_y
_atom_site_fract_z
Zr1 0.3333 0.6667 0.3963
Pb1 0.0000 0.0000 0.5000
Pb2 0.3333 0.6667 0.8891
```

---

Entry 14:
For Pm2Pd5, DFT lattice parameters and positions (GGA-PBE) gives the simulated XRD peak list in this record (λ = 1.5418 Å (Cu Kα)).

The 8 most intense peaks (10° ≤ 2θ ≤ 90°), by angle:
two_theta  I (rel.)  hkl
33.38  36  1 1 2
37.36  22  1 5 0
37.56  96  2 4 0
37.90  28  3 1 0
39.26  100  2 0 2
41.59  85  0 4 2
61.40  24  3 5 2
75.42  40  2 4 4

Crystal structure
```
data_Pm2Pd5
_cell_length_a 7.249
_cell_length_b 12.760
_cell_length_c 5.929
_cell_angle_alpha 90.00
_cell_angle_beta 90.00
_cell_angle_gamma 90.00
_space_group_name_H-M_alt 'C c c m'
_space_group_IT_number 66
_space_group_name_Hall '-C 2 2c'
loop_
_atom_site_label
_atom_site_fract_x
_atom_site_fract_y
_atom_site_fract_z
Pm1 0.198 0.103 0.000
Pd1 0.000 0.268 0.250
Pd2 0.000 0.500 0.250
Pd3 0.230 0.129 0.500
```

---

Entry 15:
For Pm5Pd3, DFT lattice parameters and positions (GGA-PBE) gives the simulated XRD peak list in this record (λ = 1.5418 Å (Cu Kα)).

The 8 most intense peaks (10° ≤ 2θ ≤ 90°), by angle:
two_theta  I (rel.)  hkl
28.18  26  0 0 2
31.40  67  3 2 1
32.27  52  2 0 2
34.88  55  4 2 0
35.15  100  4 1 1
35.94  41  2 2 2
54.50  28  4 1 3
65.52  18  6 4 2

Crystal structure
```
data_Pm5Pd3
_cell_length_a 11.503
_cell_length_b 11.503
_cell_length_c 6.334
_cell_angle_alpha 90.00
_cell_angle_beta 90.00
_cell_angle_gamma 90.00
_space_group_name_H-M_alt 'I 4/m c m'
_space_group_IT_number 140
_space_group_name_Hall '-I 4 2c'
loop_
_atom_site_label
_atom_site_fract_x
_atom_site_fract_y
_atom_site_fract_z
Pm1 0.000 0.500 0.250
Pm2 0.084 0.210 0.000
Pd1 0.000 0.000 0.250
Pd2 0.159 0.341 0.500
```